Diffraction record for Cu2BiS3. The powder diffractogram is simulated, not measured: it uses a structure optimized by DFT (PBE) and a wavelength of 1.5418 Å.
Kinematic intensities with the Lorentz-polarization factor, no thermal factor.

```
data_Cu2BiS3
_chemical_formula_sum 'Cu32 Bi16 S48'
_cell_length_a 7.571
_cell_length_b 25.468
_cell_length_c 10.729
_cell_angle_alpha 90.00
_cell_angle_beta 90.00
_cell_angle_gamma 90.00
_symmetry_space_group_name_H-M 'F d d 2'
_symmetry_Int_Tables_number 43
_symmetry_space_group_name_Hall 'F 2 -2d'
loop_
_atom_site_label
_atom_site_fract_x
_atom_site_fract_y
_atom_site_fract_z
Cu1 0.000 0.000 0.000
Cu2 0.000 0.000 0.489
Cu3 0.004 0.160 0.992
Bi1 0.029 0.325 0.969
S1 0.006 0.072 0.360
S2 0.006 0.230 0.856
S3 0.029 0.420 0.393
```

Main lines, by angle (2θ = 10–80°):
2θ = 17.74°, d = 4.999 Å, intensity 30; 2θ = 22.61°, d = 3.932 Å, intensity 18; 2θ = 26.78°, d = 3.329 Å, intensity 97; 2θ = 28.87°, d = 3.093 Å, intensity 100; 2θ = 31.67°, d = 2.825 Å, intensity 33; 2θ = 46.70°, d = 1.945 Å, intensity 58; 2θ = 52.28°, d = 1.750 Å, intensity 27; 2θ = 55.84°, d = 1.646 Å, intensity 32